For Li8Ti15O32, a crystal structure in Alexandria, relaxed with GGA-PBE gives the theoretical X-ray diffraction stick pattern in this record (CuKα).
Peak positions follow from Bragg's law for the DFT cell and can differ from measured ones.

Structural model:
Cell: 19.8310 19.8310 19.8310 Å, 17.33 17.33 17.33°
Element x y z (fractional)
Li1 0.0000 0.0000 0.0000
Li2 0.0613 0.0613 0.0613
Li3 0.2489 0.2489 0.2489
Li4 0.3120 0.3120 0.3120
Li5 0.4058 0.4058 0.4058
Li6 0.5001 0.5001 0.5001
Li7 0.7502 0.7502 0.7502
Li8 0.8111 0.8111 0.8111
Ti1 0.0296 0.0296 0.5332
Ti2 0.0296 0.5332 0.0296
Ti3 0.0386 0.5282 0.5282
Ti4 0.1554 0.1554 0.1554
Ti5 0.2818 0.7800 0.7800
Ti6 0.2833 0.2833 0.7730
Ti7 0.2833 0.7730 0.2833
Ti8 0.5282 0.0386 0.5282
Ti9 0.5282 0.5282 0.0386
Ti10 0.5332 0.0296 0.0296
Ti11 0.6563 0.6563 0.6563
Ti12 0.7730 0.2833 0.2833
Ti13 0.7800 0.2818 0.7800
Ti14 0.7800 0.7800 0.2818
Ti15 0.9050 0.9050 0.9050
O1 0.0772 0.0772 0.6288
O2 0.0772 0.6288 0.0772
O3 0.0963 0.0963 0.0963
O4 0.1203 0.5845 0.5845
O5 0.1755 0.7372 0.7372
O6 0.2147 0.2147 0.2147
O7 0.2271 0.2271 0.6912
O8 0.2271 0.6912 0.2271
O9 0.3266 0.3266 0.8790
O10 0.3266 0.8790 0.3266
O11 0.3462 0.3462 0.3462
O12 0.3817 0.8253 0.8253
O13 0.4296 0.9863 0.9863
O14 0.4654 0.4654 0.4654
O15 0.4841 0.4841 0.9340
O16 0.4841 0.9340 0.4841
O17 0.5845 0.1203 0.5845
O18 0.5845 0.5845 0.1203
O19 0.5975 0.5975 0.5975
O20 0.6288 0.0772 0.0772
O21 0.6912 0.2271 0.2271
O22 0.7152 0.7152 0.7152
O23 0.7372 0.1755 0.7372
O24 0.7372 0.7372 0.1755
O25 0.8253 0.3817 0.8253
O26 0.8253 0.8253 0.3817
O27 0.8458 0.8458 0.8458
O28 0.8790 0.3266 0.3266
O29 0.9340 0.4841 0.4841
O30 0.9652 0.9652 0.9652
O31 0.9863 0.4296 0.9863
O32 0.9863 0.9863 0.4296

Most intense lines, 10° ≤ 2θ ≤ 80°, by angle:
2θ 18.18, intensity 100.0; 2θ 35.22, intensity 41.8; 2θ 36.84, intensity 4.1; 2θ 42.80, intensity 59.3; 2θ 46.86, intensity 7.4; 2θ 56.59, intensity 20.0; 2θ 62.13, intensity 34.5; 2θ 65.33, intensity 12.8; 2θ 73.49, intensity 4.3; 2θ 78.40, intensity 8.6